The following is a computed XRD peak list of Na2SiO9. It was derived from a structure optimized by DFT (GGA-PBE), using λ = 1.5418 Å (Cu Kα).
Intensities are scaled so that the largest is 100.

Crystal structure
```
Na2SiO9
1.0
6.582 0.000 0.000
0.000 6.008 0.000
-1.119 0.000 11.044
Na Si O
4 2 18
Direct
0.163 0.000 0.004
0.308 0.957 0.720
0.692 0.457 0.280
0.837 0.500 0.996
0.244 0.481 0.837
0.756 0.981 0.163
0.019 0.085 0.554
0.144 0.634 0.936
0.165 0.571 0.437
0.168 0.614 0.714
0.234 0.218 0.846
0.345 0.158 0.328
0.388 0.958 0.334
0.419 0.234 0.168
0.480 0.029 0.139
0.520 0.529 0.861
0.581 0.734 0.832
0.612 0.458 0.666
0.655 0.658 0.672
0.766 0.718 0.154
0.832 0.114 0.286
0.835 0.071 0.563
0.856 0.134 0.064
0.981 0.585 0.446
```

Largest 6 diffraction maxima, by intensity, 2θ from 5° to 70°:
| 2θ/deg | intensity | hkl |
| --- | --- | --- |
| 22.08 | 100 | 1 0 2 |
| 16.80 | 69 | 0 1 1 |
| 30.50 | 58 | 1 1 -3 |
| 8.01 | 50 | 0 0 1 |
| 15.02 | 47 | 1 0 -1 |
| 21.86 | 36 | 0 1 2 |